(1)
Structure and simulated powder diffraction line list of YSnIr (a structure optimized by DFT (PBE); copper Kα).
Peak positions follow from Bragg's law for the DFT cell and can differ from measured ones.

Unit cell a=7.008 b=4.593 c=8.037 alpha=90.00 beta=90.00 gamma=90.00
Space group Pnma (No. 62)
Inequivalent atoms, fractional coordinates:
Y  0.020  0.250  0.190 (multiplicity 4)
Sn  0.168  0.250  0.573 (multiplicity 4)
Ir  0.229  0.750  0.398 (multiplicity 4)

The 10 most intense peaks (15 to 90 degrees two-theta), by intensity:
d/Å, 2theta, Rel. int.
2.632, 34.1, 100
2.314, 38.9, 82
2.297, 39.2, 57
2.777, 32.2, 42
1.931, 47.1, 33
2.018, 44.9, 32
3.504, 25.4, 27
2.243, 40.2, 26
2.641, 33.9, 25
3.988, 22.3, 20

(2)
Structure and simulated powder diffraction line list of TaIr3 (a structure optimized by DFT (PBE); copper Kα).
Peak positions follow from Bragg's law for the DFT cell and can differ from measured ones.

Unit cell a=3.928 b=3.928 c=3.928 alpha=90.00 beta=90.00 gamma=90.00
Space group Pm-3m (No. 221)
Inequivalent atoms, fractional coordinates:
Ta  0.000  0.000  0.000 (multiplicity 1)
Ir  0.000  0.500  0.500 (multiplicity 3)

The 5 most intense peaks (15 to 90 degrees two-theta), by intensity:
d/Å, 2theta, Rel. int.
2.268, 39.7, 100
1.964, 46.2, 49
1.184, 81.2, 39
1.389, 67.4, 32
1.134, 85.7, 12

(3)
Structure and simulated powder diffraction line list of TaIr3 (a structure optimized by DFT (PBE); copper Kα).
Peak positions follow from Bragg's law for the DFT cell and can differ from measured ones.

Unit cell a=5.5885 b=5.5885 c=4.4895 alpha=90.00 beta=90.00 gamma=120.00
Space group P6_3/mmc (No. 194)
Inequivalent atoms, fractional coordinates:
Ta  0.3333  0.6667  0.2500 (multiplicity 2)
Ir  0.1639  0.3278  0.7500 (multiplicity 6)

The 10 most intense peaks (15 to 90 degrees two-theta), by intensity:
d/Å, 2theta, Rel. int.
2.130, 42.4, 100
2.245, 40.2, 26
2.420, 37.2, 24
1.186, 81.1, 21
1.273, 74.6, 19
1.397, 67.0, 17
1.646, 55.9, 15
1.168, 82.6, 15
1.122, 86.8, 3
1.210, 79.2, 3